# 1
The following is a calculated X-ray powder pattern of Na12Tl6Ni. It was derived from a structure optimized by DFT (PBE), using Cu Kα X-rays.
Peak positions follow from Bragg's law for the DFT cell and can differ from measured ones.

Largest 10 diffraction maxima, low angle first, 2θ from 10° to 90°:
| (hkl) | two_theta | Rel. int. |
| --- | --- | --- |
| 1 0 1 | 10.87 | 90 |
| 0 1 2 | 13.95 | 40 |
| 2 0 2 | 21.84 | 30 |
| 2 1 1 | 26.16 | 29 |
| 0 2 4 | 28.12 | 21 |
| 0 0 6 | 30.54 | 24 |
| 0 3 3 | 33.01 | 100 |
| 3 0 6 | 42.73 | 21 |
| 3 3 0 | 51.71 | 20 |
| 0 3 9 | 55.87 | 20 |

abc: 10.6073 10.6073 17.5629
angles: 90.00 90.00 120.00
Space group R-3m (No. 166, hexagonal axes)
Asymmetric unit:
Na 0.0933 0.5467 0.4149 x18
Na 0.1040 0.5520 0.0876 x18
Tl 0.1023 0.5512 0.7575 x18
Ni 0.0000 0.0000 0.0000 x3

=====

# 2
The following is a calculated X-ray powder pattern of Na2Tl4Ni. It was derived from a structure optimized by DFT (PBE), using Cu Kα X-rays.
Peak positions follow from Bragg's law for the DFT cell and can differ from measured ones.

Largest 10 diffraction maxima, low angle first, 2θ from 10° to 90°:
| (hkl) | two_theta | Rel. int. |
| --- | --- | --- |
| 0 0 2 | 10.87 | 47 |
| 1 0 1 | 18.29 | 50 |
| 1 0 3 | 23.99 | 38 |
| 1 1 2 | 27.13 | 100 |
| 0 0 6 | 33.01 | 42 |
| 1 1 4 | 33.26 | 71 |
| 2 0 0 | 35.33 | 73 |
| 2 0 6 | 49.12 | 56 |
| 2 2 0 | 50.83 | 26 |
| 2 2 6 | 61.95 | 28 |

abc: 5.081 5.081 16.284
angles: 90.00 90.00 90.00
Space group I4/mmm (No. 139)
Asymmetric unit:
Na 0.000 0.000 0.143 x4
Tl 0.000 0.000 0.334 x4
Tl 0.000 0.500 0.000 x4
Ni 0.000 0.000 0.500 x2

=====

Question: Number 1 is which compound?
Answer: Na12Tl6Ni